The following is a computed PXRD pattern of LiThPt4. It was derived from a DFT-relaxed cell (PBE, Alexandria), using Cu Kα (λ = 1.5418 Å).

Peak list (6 most intense, 2θ from 15° to 90°, low angle first)
- 2θ 20.1, I 40, hkl 1 1 1
- 2θ 39.1, I 100, hkl 3 1 1
- 2θ 40.9, I 58, hkl 2 2 2
- 2θ 63.3, I 34, hkl 5 1 1
- 2θ 69.7, I 29, hkl 4 4 0
- 2θ 84.1, I 23, hkl 6 2 2

Cell and atoms:
```
data_LiThPt4
_chemical_formula_sum 'Li4 Th4 Pt16'
_cell_length_a 7.636
_cell_length_b 7.636
_cell_length_c 7.636
_cell_angle_alpha 90.00
_cell_angle_beta 90.00
_cell_angle_gamma 90.00
_space_group_name_H-M_alt 'F -4 3 m'
_space_group_IT_number 216
_space_group_name_Hall 'F -4 2 3'
loop_
_atom_site_label
_atom_site_type_symbol
_atom_site_fract_x
_atom_site_fract_y
_atom_site_fract_z
Li1 Li 0.000 0.000 0.000
Th1 Th 0.250 0.250 0.750
Pt1 Pt 0.126 0.126 0.374
```